[1]
Diffraction record for Ac3AgN3. The PXRD pattern is theoretical, not measured: it uses a structure optimized by DFT (PBE) and Cu Kα X-rays.
No peak broadening, texture or thermal motion is included.

Cell and atoms:
a b c (Å): 3.9318 3.9318 9.4504
angles (deg): 90.00 90.00 90.00
Element x y z (fractional)
Ac1 0.0000 0.0000 0.0000
Ac2 0.5000 0.5000 0.2815
Ac3 0.5000 0.5000 0.7185
Ag1 0.0000 0.0000 0.5000
N1 0.0000 0.0000 0.2720
N2 0.0000 0.0000 0.7280
N3 0.5000 0.5000 0.0000

Most intense lines, 10° ≤ 2θ ≤ 90°, in order of rising 2θ:
29.56°, intensity 100
32.20°, intensity 55
38.09°, intensity 12
43.41°, intensity 11
46.18°, intensity 20
50.71°, intensity 21
55.78°, intensity 36
61.35°, intensity 12

---

[2]
Diffraction record for LiAgF4. The PXRD pattern is theoretical, not measured: it uses a structure optimized by DFT (PBE) and Cu Kα X-rays.
No peak broadening, texture or thermal motion is included.

Cell and atoms:
a b c (Å): 6.3803 6.3803 6.3803
angles (deg): 129.83 129.83 73.68
Element x y z (fractional)
Li1 0.2500 0.2500 0.0000
Li2 0.7500 0.7500 0.0000
Ag1 0.0000 0.5000 0.5000
Ag2 0.5000 0.0000 0.5000
F1 0.0517 0.5517 0.8715
F2 0.1802 0.0517 0.5000
F3 0.3198 0.8198 0.8715
F4 0.4483 0.3198 0.5000
F5 0.5517 0.6802 0.5000
F6 0.6802 0.1802 0.1285
F7 0.8198 0.9483 0.5000
F8 0.9483 0.4483 0.1285

Most intense lines, 10° ≤ 2θ ≤ 90°, in order of rising 2θ:
17.37°, intensity 61
23.25°, intensity 94
29.17°, intensity 100
37.63°, intensity 48
42.57°, intensity 24
49.06°, intensity 47
56.75°, intensity 31
65.70°, intensity 23

---

[3]
Diffraction record for Pb3Au. The PXRD pattern is theoretical, not measured: it uses a structure optimized by DFT (PBE) and Cu Kα X-rays.
No peak broadening, texture or thermal motion is included.

Cell and atoms:
a b c (Å): 9.1392 9.1392 9.1392
angles (deg): 96.26 96.26 141.45
Element x y z (fractional)
Pb1 0.0000 0.3588 0.3588
Pb2 0.0000 0.6412 0.6412
Pb3 0.0674 0.4710 0.0000
Pb4 0.1450 0.1450 0.8097
Pb5 0.3353 0.3353 0.1903
Pb6 0.3588 0.0000 0.3588
Pb7 0.4710 0.0674 0.0000
Pb8 0.5290 0.5290 0.5964
Pb9 0.6412 0.0000 0.6412
Pb10 0.6647 0.8550 0.0000
Pb11 0.8550 0.6647 0.0000
Pb12 0.9326 0.9326 0.4036
Au1 0.2060 0.5000 0.7060
Au2 0.5000 0.2060 0.7060
Au3 0.5000 0.7940 0.2940
Au4 0.7940 0.5000 0.2940

Most intense lines, 10° ≤ 2θ ≤ 90°, in order of rising 2θ:
30.28°, intensity 90
31.10°, intensity 65
31.41°, intensity 69
32.83°, intensity 38
33.74°, intensity 100
36.34°, intensity 56
37.59°, intensity 26
61.96°, intensity 25

---

[4]
Diffraction record for Pr5TlSn2. The PXRD pattern is theoretical, not measured: it uses a structure optimized by DFT (PBE) and Cu Kα X-rays.
No peak broadening, texture or thermal motion is included.

Cell and atoms:
a b c (Å): 9.4498 9.4498 9.4498
angles (deg): 127.18 127.18 77.96
Element x y z (fractional)
Pr1 0.0000 0.0000 0.0000
Pr2 0.0206 0.5206 0.8378
Pr3 0.1829 0.0206 0.5000
Pr4 0.3171 0.8171 0.8378
Pr5 0.4794 0.3171 0.5000
Pr6 0.5000 0.5000 0.0000
Pr7 0.5206 0.6829 0.5000
Pr8 0.6829 0.1829 0.1622
Pr9 0.8171 0.9794 0.5000
Pr10 0.9794 0.4794 0.1622
Tl1 0.2500 0.2500 0.0000
Tl2 0.7500 0.7500 0.0000
Sn1 0.1307 0.3693 0.5000
Sn2 0.3693 0.8693 0.2386
Sn3 0.6307 0.1307 0.7614
Sn4 0.8693 0.6307 0.5000

Most intense lines, 10° ≤ 2θ ≤ 90°, in order of rising 2θ:
28.57°, intensity 20
29.96°, intensity 100
30.07°, intensity 19
32.37°, intensity 40
33.72°, intensity 62
48.38°, intensity 26
52.47°, intensity 14
62.46°, intensity 17

---

[5]
Diffraction record for LaAg3Au. The PXRD pattern is theoretical, not measured: it uses a structure optimized by DFT (PBE) and Cu Kα X-rays.
No peak broadening, texture or thermal motion is included.

Cell and atoms:
a b c (Å): 4.1386 4.1386 7.2594
angles (deg): 106.42 106.42 90.04
Element x y z (fractional)
La1 0.0000 0.0000 0.0000
Ag1 0.2593 0.7603 0.5194
Ag2 0.6153 0.6153 0.2316
Ag3 0.7603 0.2593 0.5194
Au1 0.4092 0.4092 0.8168

Most intense lines, 10° ≤ 2θ ≤ 90°, in order of rising 2θ:
22.50°, intensity 18
29.52°, intensity 43
33.45°, intensity 100
40.29°, intensity 56
41.05°, intensity 28
43.75°, intensity 51
61.04°, intensity 16
63.59°, intensity 16

---

[6]
Diffraction record for PrNdCoOs. The PXRD pattern is theoretical, not measured: it uses a structure optimized by DFT (PBE) and Cu Kα X-rays.
No peak broadening, texture or thermal motion is included.

Cell and atoms:
a b c (Å): 7.5124 7.5124 7.5124
angles (deg): 32.00 32.00 32.00
Element x y z (fractional)
Pr1 0.0000 0.0000 0.0000
Nd1 0.1771 0.1771 0.1771
Co1 0.7577 0.7577 0.7577
Os1 0.4214 0.4214 0.4214

Most intense lines, 10° ≤ 2θ ≤ 90°, in order of rising 2θ:
12.43°, intensity 93
25.18°, intensity 29
30.01°, intensity 71
32.60°, intensity 100
38.74°, intensity 42
43.71°, intensity 75
59.21°, intensity 23
69.65°, intensity 34